VCrSiAu: theoretical powder XRD pattern (Cu Ka), based on the GGA-PBE geometry in Alexandria.

Largest 12 diffraction maxima, in order of falling intensity, 2θ = 10–90°:
| 2θ/deg | intensity |
| --- | --- |
| 39.1 | 100 |
| 20.3 | 60 |
| 20.8 | 53 |
| 47.4 | 50 |
| 41.3 | 38 |
| 42.3 | 35 |
| 37.9 | 27 |
| 46.5 | 26 |
| 37.7 | 25 |
| 22.8 | 23 |
| 69.3 | 20 |
| 67.9 | 17 |

Structure:
```
data_VCrSiAu
_chemical_formula_sum 'V1 Cr1 Si1 Au1'
_space_group_name_H-M_alt 'P 1 2/m 1'
_space_group_IT_number 10
_space_group_name_Hall '-P 2y'
_cell_length_a 4.6375
_cell_length_b 2.8523
_cell_length_c 4.7402
_cell_angle_alpha 90.00
_cell_angle_beta 112.75
_cell_angle_gamma 90.00
loop_
_atom_site_label
_atom_site_type_symbol
_atom_site_fract_x
_atom_site_fract_y
_atom_site_fract_z
_atom_site_occupancy
V1 V 0.0000 0.0000 0.0000 1
Cr1 Cr 0.5000 0.0000 0.5000 1
Si1 Si 0.5000 0.5000 0.0000 1
Au1 Au 0.0000 0.5000 0.5000 1
```

---

Cr2Sn9Au: theoretical powder XRD pattern (Cu Ka), based on the GGA-PBE geometry in Alexandria.

Largest 12 diffraction maxima, in order of falling intensity, 2θ = 10–90°:
| 2θ/deg | intensity |
| --- | --- |
| 31.3 | 100 |
| 38.4 | 51 |
| 50.7 | 47 |
| 31.9 | 44 |
| 56.5 | 20 |
| 70.3 | 14 |
| 26.9 | 14 |
| 79.7 | 13 |
| 72.0 | 12 |
| 65.4 | 10 |
| 34.2 | 10 |
| 11.9 | 9 |

Structure:
```
data_Cr2Sn9Au
_chemical_formula_sum 'Cr2 Sn9 Au1'
_space_group_name_H-M_alt 'P 4/m'
_space_group_IT_number 83
_space_group_name_Hall '-P 4'
_cell_length_a 7.4215
_cell_length_b 7.4215
_cell_length_c 5.6045
_cell_angle_alpha 90.00
_cell_angle_beta 90.00
_cell_angle_gamma 90.00
loop_
_atom_site_label
_atom_site_type_symbol
_atom_site_fract_x
_atom_site_fract_y
_atom_site_fract_z
_atom_site_occupancy
Cr1 Cr 0.0000 0.0000 0.0000 1
Cr2 Cr 0.0000 0.0000 0.5000 1
Sn1 Sn 0.1205 0.3401 0.0000 1
Sn2 Sn 0.1433 0.6534 0.5000 1
Sn3 Sn 0.5000 0.5000 0.0000 1
Au1 Au 0.5000 0.5000 0.5000 1
```